Calculated powder diffractogram
Compound: MgMn6O7F5
Radiation: Cu Kα, 1.54184 Å
Structure: a crystal structure in the Materials Project, relaxed with PBE+U
No peak broadening, texture or thermal motion is included.

Atomic structure:
```
data_MgMn6O7F5
_chemical_formula_sum 'Mg1 Mn6 O7 F5'
_symmetry_space_group_name_H-M 'P 1'
_symmetry_Int_Tables_number 1
_cell_length_a 5.1764
_cell_length_b 5.8320
_cell_length_c 7.9211
_cell_angle_alpha 83.06
_cell_angle_beta 84.34
_cell_angle_gamma 82.30
loop_
_symmetry_equiv_pos_as_xyz
'x,y,z'
loop_
_atom_site_label
_atom_site_fract_x
_atom_site_fract_y
_atom_site_fract_z
Mg1 0.0000 0.0000 0.0000
Mn1 0.0001 0.3993 0.1511
Mn2 0.4731 0.2056 0.7999
Mn3 0.4805 0.0508 0.2482
Mn4 0.5054 0.5528 0.5002
Mn5 0.9652 0.6496 0.7936
Mn6 0.9655 0.0096 0.4879
O1 0.0917 0.6602 0.0131
O2 0.2858 0.1899 0.0331
O3 0.2935 0.8319 0.4150
O4 0.2945 0.4926 0.7084
O5 0.6745 0.2347 0.5781
O6 0.8086 0.7349 0.5866
O7 0.8587 0.1030 0.2333
F1 0.1466 0.0008 0.7489
F2 0.2130 0.3125 0.3748
F3 0.6794 0.9108 0.8992
F4 0.6988 0.5813 0.2674
F5 0.7962 0.3459 0.9125
```

Principal peaks in the range 2θ from 15° to 90°, sorted by position:
Position (°2θ)	I_rel	hkl
23.1	100	1 1 1
27.1	61	-1 1 1
29.2	25	1 1 2
33.9	41	1 1 -2
34.0	35	1 -1 2
34.4	30	0 0 3
35.1	22	2 0 0
37.4	36	1 0 3
47.7	27	2 2 -1
62.3	34	3 -1 2